# 1
# NaSn4Pt
Theoretical powder diffraction line list, Cu Kα (weighted mean of Kα1 and Kα2). Input: a crystal structure in Alexandria, relaxed with PBE.
Kinematic intensities with the Lorentz-polarization factor, no thermal factor.

Peak list (8 most intense, 2θ from 10° to 90°, most intense first)
- 2θ 40.78, rel. 100, hkl 0 2 0
- 2θ 33.82, rel. 78, hkl 1 1 -3
- 2θ 24.00, rel. 71, hkl 2 0 0
- 2θ 41.22, rel. 68, hkl 2 0 3
- 2θ 38.63, rel. 42, hkl 2 0 -4
- 2θ 23.41, rel. 33, hkl 1 1 0
- 2θ 41.86, rel. 31, hkl 3 1 0
- 2θ 26.23, rel. 27, hkl 2 0 -2

Crystal structure
a b c (Å): 7.662 4.427 10.111
angles (deg): 90.00 104.58 90.00
Sites, in units of the cell vectors:
Na1 0.000 0.000 0.000
Na2 0.500 0.500 0.000
Sn1 0.095 0.500 0.787
Sn2 0.127 0.000 0.380
Sn3 0.373 0.500 0.620
Sn4 0.405 0.000 0.213
Sn5 0.595 0.000 0.787
Sn6 0.627 0.500 0.380
Sn7 0.873 0.000 0.620
Sn8 0.905 0.500 0.213
Pt1 0.000 0.500 0.500
Pt2 0.500 0.000 0.500

# 2
# Na3Sn2Pt2
Theoretical powder diffraction line list, Cu Kα (weighted mean of Kα1 and Kα2). Input: a crystal structure in Alexandria, relaxed with PBE.
Kinematic intensities with the Lorentz-polarization factor, no thermal factor.

Peak list (8 most intense, 2θ from 10° to 90°, most intense first)
- 2θ 19.29, rel. 100, hkl 1 0 2
- 2θ 36.92, rel. 72, hkl 2 1 3
- 2θ 14.50, rel. 36, hkl 1 0 0
- 2θ 37.05, rel. 28, hkl 1 2 4
- 2θ 33.89, rel. 20, hkl 0 2 4
- 2θ 26.48, rel. 20, hkl 1 1 3
- 2θ 36.32, rel. 18, hkl 1 3 0
- 2θ 21.91, rel. 18, hkl 0 2 0

Crystal structure
a b c (Å): 6.107 8.115 13.951
angles (deg): 90.00 90.00 90.00
Sites, in units of the cell vectors:
Na1 0.123 0.234 0.250
Na2 0.123 0.266 0.750
Na3 0.364 0.609 0.592
Na4 0.364 0.609 0.908
Na5 0.364 0.891 0.092
Na6 0.364 0.891 0.408
Na7 0.636 0.109 0.592
Na8 0.636 0.109 0.908
Na9 0.636 0.391 0.092
Na10 0.636 0.391 0.408
Na11 0.877 0.734 0.250
Na12 0.877 0.766 0.750
Sn1 0.102 0.250 0.000
Sn2 0.102 0.250 0.500
Sn3 0.366 0.588 0.250
Sn4 0.366 0.912 0.750
Sn5 0.634 0.088 0.250
Sn6 0.634 0.412 0.750
Sn7 0.898 0.750 0.000
Sn8 0.898 0.750 0.500
Pt1 0.142 0.530 0.094
Pt2 0.142 0.530 0.406
Pt3 0.142 0.970 0.594
Pt4 0.142 0.970 0.906
Pt5 0.858 0.030 0.094
Pt6 0.858 0.030 0.406
Pt7 0.858 0.470 0.594
Pt8 0.858 0.470 0.906

# 3
# Na2Sn4Pt
Theoretical powder diffraction line list, Cu Kα (weighted mean of Kα1 and Kα2). Input: a crystal structure in Alexandria, relaxed with PBE.
Kinematic intensities with the Lorentz-polarization factor, no thermal factor.

Peak list (8 most intense, 2θ from 10° to 90°, most intense first)
- 2θ 15.68, rel. 100, hkl 1 1 0
- 2θ 40.04, rel. 67, hkl 1 5 1
- 2θ 31.56, rel. 40, hkl 0 4 1
- 2θ 43.28, rel. 39, hkl 2 4 1
- 2θ 28.87, rel. 38, hkl 2 0 0
- 2θ 58.87, rel. 23, hkl 3 5 1
- 2θ 36.61, rel. 22, hkl 0 0 2
- 2θ 47.28, rel. 20, hkl 2 0 2

Crystal structure
a b c (Å): 6.185 13.890 4.909
angles (deg): 90.00 90.00 90.00
Sites, in units of the cell vectors:
Na1 0.000 0.129 0.000
Na2 0.000 0.871 0.000
Na3 0.500 0.371 0.000
Na4 0.500 0.629 0.000
Sn1 0.000 0.286 0.500
Sn2 0.000 0.399 0.000
Sn3 0.000 0.601 0.000
Sn4 0.000 0.714 0.500
Sn5 0.500 0.101 0.000
Sn6 0.500 0.214 0.500
Sn7 0.500 0.786 0.500
Sn8 0.500 0.899 0.000
Pt1 0.000 0.500 0.500
Pt2 0.500 0.000 0.500